1.
Calculated powder diffraction line list
Compound: NdDyNi10
Radiation: Cu Ka
Structure: a DFT-relaxed cell (GGA-PBE, Alexandria)

Most intense lines, 2θ = 15–90°, by intensity:
| 2theta | d [Å] | Rel. int. |
| --- | --- | --- |
| 43.30 | 2.090 | 100.0 |
| 30.82 | 2.901 | 49.0 |
| 42.43 | 2.130 | 35.1 |
| 36.53 | 2.460 | 31.7 |
| 45.82 | 1.981 | 26.6 |
| 70.43 | 1.337 | 22.0 |
| 64.21 | 1.451 | 19.7 |
| 77.62 | 1.230 | 15.3 |
| 59.96 | 1.543 | 14.6 |
| 83.01 | 1.163 | 14.1 |

abc: 3.9610 4.9223 8.5177
angles: 90.00 90.00 90.00
Fractional coordinates of all 12 atoms:
Nd 0.0000 0.0000 0.0000
Dy 0.0000 0.5000 0.5000
Ni 0.0000 0.0000 0.3371
Ni 0.0000 0.0000 0.6629
Ni 0.0000 0.5000 0.1707
Ni 0.0000 0.5000 0.8293
Ni 0.5000 0.0000 0.5000
Ni 0.5000 0.2519 0.2536
Ni 0.5000 0.2519 0.7464
Ni 0.5000 0.5000 0.0000
Ni 0.5000 0.7481 0.2536
Ni 0.5000 0.7481 0.7464

2.
Calculated powder diffraction line list
Compound: Nd3DyO6
Radiation: Cu Ka
Structure: a DFT-relaxed cell (GGA-PBE, Alexandria)

Most intense lines, 2θ = 15–90°, by intensity:
| 2theta | d [Å] | Rel. int. |
| --- | --- | --- |
| 28.29 | 3.155 | 100.0 |
| 31.30 | 2.858 | 90.5 |
| 29.05 | 3.074 | 45.4 |
| 25.59 | 3.481 | 45.3 |
| 48.10 | 1.892 | 41.0 |
| 22.83 | 3.895 | 36.7 |
| 41.41 | 2.180 | 36.0 |
| 50.27 | 1.815 | 26.8 |
| 30.95 | 2.889 | 23.0 |
| 40.58 | 2.223 | 22.3 |

abc: 6.9691 6.9691 6.9691
angles: 91.80 91.80 91.80
Fractional coordinates of all 20 atoms:
Nd 0.0566 0.7519 0.5634
Nd 0.2481 0.4366 0.9434
Nd 0.4366 0.9434 0.2481
Nd 0.5634 0.0566 0.7519
Nd 0.7519 0.5634 0.0566
Nd 0.9434 0.2481 0.4366
Dy 0.0000 0.0000 0.0000
Dy 0.5000 0.5000 0.5000
O 0.0325 0.6895 0.9025
O 0.0975 0.9675 0.3105
O 0.1905 0.4333 0.5910
O 0.3105 0.0975 0.9675
O 0.4090 0.8095 0.5667
O 0.4333 0.5910 0.1905
O 0.5667 0.4090 0.8095
O 0.5910 0.1905 0.4333
O 0.6895 0.9025 0.0325
O 0.8095 0.5667 0.4090
O 0.9025 0.0325 0.6895
O 0.9675 0.3105 0.0975